Structure and simulated powder diffractogram of Cs4Y3GaO8 (a cell relaxed with PBE; a wavelength of 1.5418 Å).
Intensities are scaled so that the largest is 1000.

Crystal structure
Lattice parameters (Å, degrees): 12.118 6.986 7.945 90.00 120.54 90.00
Space group C2/m (No. 12)
Inequivalent atoms, fractional coordinates:
Cs 0.000 0.000 0.000 (multiplicity 2)
Cs 0.000 0.500 0.000 (multiplicity 2)
Cs 0.250 0.250 0.000 (multiplicity 4)
Y 0.000 0.000 0.500 (multiplicity 2)
Y 0.250 0.250 0.500 (multiplicity 4)
Ga 0.000 0.500 0.500 (multiplicity 2)
O 0.025 0.264 0.338 (multiplicity 8)
O 0.213 0.500 0.663 (multiplicity 4)
O 0.221 0.000 0.664 (multiplicity 4)

Largest 10 diffraction maxima, in order of rising 2θ, 10 to 90 degrees two-theta:
2theta	I/Imax	h k l
26.04	481	0 0 2
30.79	790	2 2 0
34.39	1000	4 0 0
46.39	351	2 2 2
52.35	303	0 4 0
53.97	232	2 2 -4
59.38	290	6 2 -4
61.97	113	4 4 -2
64.15	151	4 4 0
78.18	128	6 2 2

---

Structure and simulated powder diffractogram of Cs4Rb2GaP2 (a cell relaxed with PBE; a wavelength of 1.5418 Å).
Intensities are scaled so that the largest is 1000.

Crystal structure
Lattice parameters (Å, degrees): 23.509 10.511 5.334 90.00 90.81 90.00
Space group C2/m (No. 12)
Inequivalent atoms, fractional coordinates:
Cs 0.101 0.226 0.487 (multiplicity 8)
Rb 0.237 0.000 0.999 (multiplicity 4)
Ga 0.000 0.000 0.000 (multiplicity 2)
P 0.093 0.000 0.987 (multiplicity 4)

Largest 10 diffraction maxima, in order of rising 2θ, 10 to 90 degrees two-theta:
2theta	I/Imax	h k l
22.35	305	4 0 -1
22.69	1000	4 2 0
23.77	836	0 2 1
32.93	140	6 2 -1
33.27	165	6 2 1
33.61	176	0 0 2
34.12	137	0 4 0
40.73	163	4 2 -2
41.19	146	6 0 2
41.37	149	4 4 1

---

Structure and simulated powder diffractogram of Cs5Ga2Pb4 (a cell relaxed with PBE; a wavelength of 1.5418 Å).
Intensities are scaled so that the largest is 1000.

Crystal structure
Lattice parameters (Å, degrees): 25.239 4.240 10.856 90.00 115.45 90.00
Space group C2/m (No. 12)
Inequivalent atoms, fractional coordinates:
Cs 0.000 0.000 0.000 (multiplicity 2)
Cs 0.161 0.500 0.374 (multiplicity 4)
Cs 0.161 0.500 0.947 (multiplicity 4)
Ga 0.069 0.000 0.568 (multiplicity 4)
Pb 0.000 0.500 0.353 (multiplicity 4)
Pb 0.193 0.000 0.693 (multiplicity 4)

Largest 10 diffraction maxima, in order of rising 2θ, 10 to 90 degrees two-theta:
2theta	I/Imax	h k l
23.42	709	6 0 0
23.84	852	3 1 -1
26.97	904	3 1 -2
27.30	1000	6 0 -3
29.20	373	5 1 -2
33.24	454	3 1 2
34.74	432	7 1 0
38.98	514	9 1 -1
42.64	296	0 2 0
51.38	356	6 2 -3

---

Structure and simulated powder diffractogram of CsGaSb2Pb (a cell relaxed with PBE; a wavelength of 1.5418 Å).
Intensities are scaled so that the largest is 1000.

Crystal structure
Lattice parameters (Å, degrees): 7.316 15.829 7.135 90.00 90.00 90.00
Space group Cmme (No. 67)
Inequivalent atoms, fractional coordinates:
Cs 0.000 0.250 0.248 (multiplicity 4)
Ga 0.000 0.000 0.000 (multiplicity 4)
Sb 0.000 0.119 0.762 (multiplicity 8)
Pb 0.250 0.000 0.500 (multiplicity 4)

Largest 10 diffraction maxima, in order of rising 2θ, 10 to 90 degrees two-theta:
2theta	I/Imax	h k l
11.18	318	0 2 0
24.26	1000	1 3 1
27.41	751	0 2 2
29.68	393	2 2 1
33.31	375	1 5 1
33.83	270	0 4 2
35.14	409	2 0 2
35.72	217	2 4 1
42.62	204	0 6 2
51.26	249	0 0 4

---

Structure and simulated powder diffractogram of CsGaPd (a cell relaxed with PBE; a wavelength of 1.5418 Å).
Intensities are scaled so that the largest is 1000.

Crystal structure
Lattice parameters (Å, degrees): 4.3436 4.3436 5.8825 90.00 90.00 120.00
Space group P-6m2 (No. 187)
Inequivalent atoms, fractional coordinates:
Cs 0.0000 0.0000 0.0000 (multiplicity 1)
Ga 0.3333 0.6667 0.5000 (multiplicity 1)
Pd 0.6667 0.3333 0.5000 (multiplicity 1)

Largest 10 diffraction maxima, in order of rising 2θ, 10 to 90 degrees two-theta:
2theta	I/Imax	h k l
28.16	1000	1 0 1
30.39	267	0 0 2
41.58	336	1 1 0
50.98	188	2 0 1
52.37	339	1 1 2
52.64	171	1 0 3
67.81	159	2 1 1
78.56	102	1 1 4
83.88	87	3 0 2
84.10	89	2 1 3

---

Structure and simulated powder diffractogram of Cs2PmGaS4 (a cell relaxed with PBE; a wavelength of 1.5418 Å).
Intensities are scaled so that the largest is 1000.

Crystal structure
Lattice parameters (Å, degrees): 10.902 12.170 8.208 90.00 107.33 90.00
Space group C2/c (No. 15)
Inequivalent atoms, fractional coordinates:
Cs 0.000 0.000 0.000 (multiplicity 4)
Cs 0.250 0.250 0.000 (multiplicity 4)
Pm 0.000 0.500 0.000 (multiplicity 4)
Ga 0.250 0.250 0.500 (multiplicity 4)
S 0.075 0.265 0.573 (multiplicity 8)
S 0.183 0.459 0.321 (multiplicity 8)

Largest 10 diffraction maxima, in order of rising 2θ, 10 to 90 degrees two-theta:
2theta	I/Imax	h k l
22.48	1000	2 2 0
22.70	705	0 0 2
28.20	579	2 2 -2
29.36	538	0 4 0
34.47	213	4 0 0
35.27	323	4 0 -2
35.72	587	2 2 2
37.42	411	0 4 2
46.53	261	4 4 -2
46.87	209	2 2 -4

---

Structure and simulated powder diffractogram of Cs2PrGaSe4 (a cell relaxed with PBE; a wavelength of 1.5418 Å).
Intensities are scaled so that the largest is 1000.

Crystal structure
Lattice parameters (Å, degrees): 11.301 12.741 8.518 90.00 104.46 90.00
Space group C2/c (No. 15)
Inequivalent atoms, fractional coordinates:
Cs 0.000 0.000 0.000 (multiplicity 4)
Cs 0.250 0.250 0.000 (multiplicity 4)
Pr 0.000 0.500 0.000 (multiplicity 4)
Ga 0.250 0.250 0.500 (multiplicity 4)
Se 0.072 0.265 0.586 (multiplicity 8)
Se 0.187 0.456 0.312 (multiplicity 8)

Largest 10 diffraction maxima, in order of rising 2θ, 10 to 90 degrees two-theta:
2theta	I/Imax	h k l
21.41	540	2 2 0
21.55	645	0 0 2
27.45	377	2 2 -2
28.01	850	0 4 0
33.40	1000	2 2 2
34.52	503	4 0 -2
35.61	468	0 4 2
45.03	383	4 4 -2
45.24	253	2 2 -4
52.16	313	6 2 0

---

Structure and simulated powder diffractogram of Cs3Pr3GaSe8 (a cell relaxed with PBE; a wavelength of 1.5418 Å).
Intensities are scaled so that the largest is 1000.

Crystal structure
Lattice parameters (Å, degrees): 14.883 8.597 9.927 90.00 119.98 90.00
Space group C2/m (No. 12)
Inequivalent atoms, fractional coordinates:
Cs 0.000 0.000 0.000 (multiplicity 2)
Cs 0.250 0.250 0.000 (multiplicity 4)
Pr 0.000 0.500 0.500 (multiplicity 2)
Pr 0.250 0.250 0.500 (multiplicity 4)
Ga 0.000 0.000 0.500 (multiplicity 2)
Se 0.017 0.229 0.323 (multiplicity 8)
Se 0.210 0.000 0.676 (multiplicity 4)
Se 0.231 0.500 0.693 (multiplicity 4)

Largest 10 diffraction maxima, in order of rising 2θ, 10 to 90 degrees two-theta:
2theta	I/Imax	h k l
10.29	234	0 0 1
20.66	112	0 0 2
27.67	1000	2 2 -2
34.24	115	4 0 1
36.88	323	4 0 -4
42.05	405	0 4 0
42.65	102	4 0 2
51.09	173	8 0 -4
68.24	139	2 6 -2
80.58	110	0 4 6

---

Structure and simulated powder diffractogram of CsGaPt (a cell relaxed with PBE; a wavelength of 1.5418 Å).
Intensities are scaled so that the largest is 1000.

Crystal structure
Lattice parameters (Å, degrees): 4.626 5.035 11.118 94.81 90.04 90.01
Space group P1 (No. 1)
Inequivalent atoms, fractional coordinates:
Cs 0.000 0.000 0.000 (multiplicity 1)
Cs 0.499 0.678 0.458 (multiplicity 1)
Ga 0.498 0.178 0.732 (multiplicity 1)
Ga 0.998 0.500 0.725 (multiplicity 1)
Pt 0.498 0.679 0.765 (multiplicity 1)
Pt 0.998 0.999 0.692 (multiplicity 1)

Largest 10 diffraction maxima, in order of rising 2θ, 10 to 90 degrees two-theta:
2theta	I/Imax	h k l
16.00	490	0 0 2
17.68	491	0 1 0
24.10	1000	0 0 3
26.20	959	1 1 0
30.99	865	1 0 -3
31.26	500	0 1 3
32.32	583	0 0 4
34.83	562	1 -1 3
38.94	602	2 0 0
40.89	632	1 -2 0

---

Structure and simulated powder diffractogram of Cs2Ga5Pt3 (a cell relaxed with PBE; a wavelength of 1.5418 Å).
Intensities are scaled so that the largest is 1000.

Crystal structure
Lattice parameters (Å, degrees): 15.107 10.741 6.531 90.00 115.51 90.00
Space group C2/c (No. 15)
Inequivalent atoms, fractional coordinates:
Cs 0.134 0.235 0.134 (multiplicity 8)
Ga 0.000 0.498 0.250 (multiplicity 4)
Ga 0.113 0.120 0.613 (multiplicity 8)
Ga 0.222 0.499 0.974 (multiplicity 8)
Pt 0.000 0.000 0.250 (multiplicity 4)
Pt 0.113 0.375 0.613 (multiplicity 8)

Largest 10 diffraction maxima, in order of rising 2θ, 10 to 90 degrees two-theta:
2theta	I/Imax	h k l
21.23	217	3 1 0
31.08	505	4 2 0
31.37	1000	3 3 -1
32.08	526	2 2 -2
38.16	972	2 0 2
42.88	234	4 4 0
43.64	255	2 4 -2
46.45	297	1 5 1
49.52	237	5 3 1
50.88	257	1 3 -3

---

Structure and simulated powder diffractogram of Cs2RbGa2Sb2 (a cell relaxed with PBE; a wavelength of 1.5418 Å).
Intensities are scaled so that the largest is 1000.

Crystal structure
Lattice parameters (Å, degrees): 14.736 4.472 10.245 90.00 99.75 90.00
Space group C2/m (No. 12)
Inequivalent atoms, fractional coordinates:
Cs 0.191 0.000 0.174 (multiplicity 4)
Rb 0.000 0.500 0.500 (multiplicity 2)
Ga 0.026 0.500 0.891 (multiplicity 4)
Sb 0.086 0.000 0.785 (multiplicity 4)

Largest 10 diffraction maxima, in order of rising 2θ, 10 to 90 degrees two-theta:
2theta	I/Imax	h k l
17.57	338	0 0 2
24.61	606	4 0 -1
26.48	613	0 0 3
27.15	786	3 1 0
27.54	1000	4 0 1
28.02	942	1 1 2
32.73	411	4 0 2
35.94	746	3 1 -3
40.34	340	0 2 0
50.97	322	1 1 5

---

Structure and simulated powder diffractogram of CsGa2Re (a cell relaxed with PBE; a wavelength of 1.5418 Å).
Intensities are scaled so that the largest is 1000.

Crystal structure
Lattice parameters (Å, degrees): 7.562 7.562 11.601 90.00 90.00 90.00
Space group I4_1/amd (No. 141, origin choice 2)
Inequivalent atoms, fractional coordinates:
Cs 0.000 0.250 0.375 (multiplicity 4)
Ga 0.000 0.000 0.000 (multiplicity 8)
Re 0.000 0.250 0.875 (multiplicity 4)

Largest 10 diffraction maxima, in order of rising 2θ, 10 to 90 degrees two-theta:
2theta	I/Imax	h k l
13.98	374	1 0 1
22.62	1000	1 1 2
23.53	454	2 0 0
28.17	129	2 0 2
39.15	241	2 0 4
40.81	428	3 1 2
46.18	324	2 2 4
48.13	143	4 0 0
50.17	118	1 1 6
61.69	128	3 1 6

---

Question: What is the formula in the fifth record?
Answer: CsGaPd

---

Question: Number 10 is which compound?
Answer: Cs2Ga5Pt3